Starting from a cell relaxed with PBE, the powder diffraction line list of MnCu2Te2 was simulated for λ = 1.5418 Å (Cu Kα).

Cell lengths 8.5507, 8.5507, 8.5507 Å; angles 60.00, 60.00, 60.00 degrees
Sites, in units of the cell vectors:
Mn 0.1242 0.1242 0.1242
Mn 0.1242 0.1242 0.6274
Mn 0.1242 0.6274 0.1242
Mn 0.6274 0.1242 0.1242
Cu 0.5000 0.5000 0.5000
Cu 0.5016 0.5016 0.9984
Cu 0.5016 0.9984 0.5016
Cu 0.5016 0.9984 0.9984
Cu 0.7500 0.7500 0.7500
Cu 0.9984 0.5016 0.5016
Cu 0.9984 0.5016 0.9984
Cu 0.9984 0.9984 0.5016
Te 0.3600 0.8800 0.8800
Te 0.3774 0.3774 0.3774
Te 0.3774 0.3774 0.8677
Te 0.3774 0.8677 0.3774
Te 0.8677 0.3774 0.3774
Te 0.8800 0.3600 0.8800
Te 0.8800 0.8800 0.3600
Te 0.8800 0.8800 0.8800

The 12 most intense peaks (2θ = 10–90°), in order of rising 2θ:
2θ (°)  intensity
24.41  12
25.52  63
29.55  19
38.69  6
42.28  100
50.03  30
52.42  5
61.33  16
67.53  12
69.53  6
77.31  31
82.99  9


Starting from a cell relaxed with PBE, the powder diffraction line list of CuMo6S8 was simulated for λ = 1.5418 Å (Cu Kα).

Cell lengths 6.4726, 6.4881, 12.9982 Å; angles 94.04, 94.66, 93.65 degrees
Sites, in units of the cell vectors:
Cu 0.0000 0.0000 0.0000
Cu 0.1422 0.8318 0.5138
Mo 0.2524 0.4451 0.2350
Mo 0.2565 0.4384 0.7349
Mo 0.4421 0.1133 0.3046
Mo 0.4471 0.1081 0.8047
Mo 0.4950 0.4919 0.9265
Mo 0.4954 0.4935 0.4257
Mo 0.5815 0.3018 0.1396
Mo 0.5851 0.3015 0.6390
Mo 0.6314 0.6849 0.7586
Mo 0.6358 0.6826 0.2610
Mo 0.8212 0.3543 0.8294
Mo 0.8248 0.3504 0.3300
S 0.1757 0.2692 0.8959
S 0.1755 0.2784 0.3944
S 0.2408 0.1103 0.1333
S 0.2516 0.0970 0.6344
S 0.3100 0.7665 0.3438
S 0.3140 0.7584 0.8426
S 0.4106 0.6229 0.5990
S 0.4179 0.6234 0.1008
S 0.6606 0.1729 0.4644
S 0.6628 0.1680 0.9670
S 0.7615 0.0304 0.2226
S 0.7649 0.0336 0.7217
S 0.8310 0.6972 0.9270
S 0.8387 0.6868 0.4301
S 0.9016 0.5174 0.1708
S 0.9032 0.5198 0.6706

The 12 most intense peaks (2θ = 10–90°), in order of rising 2θ:
2θ (°)  intensity
13.73  100
25.71  15
33.45  14
33.59  11
33.75  12
36.22  10
40.26  13
40.60  22
44.92  15
46.21  29
46.67  14
51.65  14


Starting from a cell relaxed with PBE, the powder diffraction line list of Cu2Mo3Se4 was simulated for λ = 1.5418 Å (Cu Kα).

Cell lengths 6.8587, 6.9114, 8.0123 Å; angles 70.75, 73.19, 84.61 degrees
Sites, in units of the cell vectors:
Cu 0.0364 0.2876 0.4138
Cu 0.2773 0.9632 0.4357
Cu 0.7227 0.0368 0.5643
Cu 0.9636 0.7124 0.5862
Mo 0.0057 0.0118 0.7582
Mo 0.0795 0.7205 0.0463
Mo 0.2795 0.0796 0.9131
Mo 0.7205 0.9204 0.0869
Mo 0.9205 0.2795 0.9537
Mo 0.9943 0.9882 0.2418
Se 0.1901 0.3694 0.6334
Se 0.2055 0.3343 0.0937
Se 0.3378 0.7839 0.2036
Se 0.3628 0.8223 0.7292
Se 0.6372 0.1777 0.2708
Se 0.6622 0.2161 0.7964
Se 0.7945 0.6657 0.9063
Se 0.8099 0.6306 0.3666

The 12 most intense peaks (2θ = 10–90°), in order of rising 2θ:
2θ (°)  intensity
12.17  15
13.53  100
30.48  23
36.17  23
36.28  24
37.32  55
43.64  20
43.82  21
45.32  38
45.75  32
46.79  20
47.18  19


Starting from a cell relaxed with PBE, the powder diffraction line list of CuMo6Se8 was simulated for λ = 1.5418 Å (Cu Kα).

Cell lengths 6.7499, 6.7499, 6.7499 Å; angles 93.08, 93.08, 93.08 degrees
Sites, in units of the cell vectors:
Cu 0.0000 0.0000 0.0000
Mo 0.2262 0.4121 0.5461
Mo 0.4121 0.5461 0.2262
Mo 0.4539 0.7738 0.5879
Mo 0.5461 0.2262 0.4121
Mo 0.5879 0.4539 0.7738
Mo 0.7738 0.5879 0.4539
Se 0.1290 0.7376 0.3777
Se 0.2116 0.2116 0.2116
Se 0.2624 0.6223 0.8710
Se 0.3777 0.1290 0.7376
Se 0.6223 0.8710 0.2624
Se 0.7376 0.3777 0.1290
Se 0.7884 0.7884 0.7884
Se 0.8710 0.2624 0.6223

The 12 most intense peaks (2θ = 10–90°), in order of rising 2θ:
2θ (°)  intensity
13.16  100
28.99  30
30.37  29
31.63  36
32.28  38
39.13  72
41.72  24
42.27  39
43.23  23
44.42  97
49.65  40
57.96  30